(1)
Diffraction record for Ba2Ca12In7. The PXRD pattern is computed, not measured: it uses a crystal structure in Alexandria, relaxed with PBE and a wavelength of 1.5418 Å.
Kinematic intensities with the Lorentz-polarization factor, no thermal factor.

Structural model:
a = 14.187 Å, b = 14.187 Å, c = 4.257 Å
α = 90.00°, β = 90.00°, γ = 120.00°
Fractional positions:
Ba1 0.000 0.000 0.000
Ba2 0.333 0.667 0.500
Ca1 0.051 0.779 0.500
Ca2 0.103 0.399 0.000
Ca3 0.221 0.272 0.500
Ca4 0.297 0.897 0.000
Ca5 0.400 0.222 0.000
Ca6 0.535 0.105 0.500
Ca7 0.569 0.465 0.500
Ca8 0.601 0.703 0.000
Ca9 0.728 0.949 0.500
Ca10 0.778 0.178 0.000
Ca11 0.822 0.600 0.000
Ca12 0.895 0.431 0.500
In1 0.086 0.624 0.000
In2 0.239 0.040 0.500
In3 0.376 0.462 0.000
In4 0.538 0.914 0.000
In5 0.667 0.333 0.000
In6 0.801 0.761 0.500
In7 0.960 0.199 0.500

Peak list (8 most intense, 2θ from 15° to 90°, in order of rising 2θ)
- 2θ = 19.1°, intensity 41.3
- 2θ = 25.5°, intensity 30.4
- 2θ = 28.4°, intensity 100.0
- 2θ = 30.3°, intensity 19.6
- 2θ = 33.4°, intensity 79.1
- 2θ = 33.7°, intensity 30.3
- 2θ = 38.3°, intensity 25.6
- 2θ = 55.1°, intensity 36.0

=====

(2)
Diffraction record for Ba2Ca2In. The PXRD pattern is computed, not measured: it uses a crystal structure in Alexandria, relaxed with PBE and a wavelength of 1.5418 Å.
Kinematic intensities with the Lorentz-polarization factor, no thermal factor.

Structural model:
a = 8.449 Å, b = 8.449 Å, c = 6.371 Å
α = 90.00°, β = 90.00°, γ = 90.00°
Fractional positions:
Ba1 0.180 0.320 0.000
Ba2 0.320 0.820 0.000
Ba3 0.680 0.180 0.000
Ba4 0.820 0.680 0.000
Ca1 0.151 0.651 0.500
Ca2 0.349 0.151 0.500
Ca3 0.651 0.849 0.500
Ca4 0.849 0.349 0.500
In1 0.000 0.000 0.500
In2 0.500 0.500 0.500

Peak list (8 most intense, 2θ from 15° to 90°, in order of rising 2θ)
- 2θ = 20.4°, intensity 30.2
- 2θ = 25.3°, intensity 64.7
- 2θ = 27.4°, intensity 100.0
- 2θ = 28.0°, intensity 41.3
- 2θ = 33.5°, intensity 35.3
- 2θ = 44.2°, intensity 39.9
- 2θ = 46.6°, intensity 27.9
- 2θ = 47.9°, intensity 25.7

=====

(3)
Diffraction record for Ba2CaIn12Ir3. The PXRD pattern is computed, not measured: it uses a crystal structure in Alexandria, relaxed with PBE and a wavelength of 1.5418 Å.
Kinematic intensities with the Lorentz-polarization factor, no thermal factor.

Structural model:
a = 9.003 Å, b = 9.003 Å, c = 9.003 Å
α = 68.00°, β = 68.00°, γ = 68.00°
Fractional positions:
Ba1 0.095 0.095 0.095
Ba2 0.905 0.905 0.905
Ca1 0.500 0.500 0.500
In1 0.103 0.641 0.641
In2 0.223 0.223 0.575
In3 0.223 0.575 0.223
In4 0.359 0.359 0.897
In5 0.359 0.897 0.359
In6 0.425 0.777 0.777
In7 0.575 0.223 0.223
In8 0.641 0.103 0.641
In9 0.641 0.641 0.103
In10 0.777 0.425 0.777
In11 0.777 0.777 0.425
In12 0.897 0.359 0.359
Ir1 0.000 0.500 0.500
Ir2 0.500 0.000 0.500
Ir3 0.500 0.500 0.000

Peak list (8 most intense, 2θ from 15° to 90°, in order of rising 2θ)
- 2θ = 20.8°, intensity 100.0
- 2θ = 25.9°, intensity 27.3
- 2θ = 28.4°, intensity 26.6
- 2θ = 32.1°, intensity 24.9
- 2θ = 35.7°, intensity 73.5
- 2θ = 40.7°, intensity 38.3
- 2θ = 41.7°, intensity 38.4
- 2θ = 55.2°, intensity 22.8

=====

(4)
Diffraction record for Ba2CaIn12Pt3. The PXRD pattern is computed, not measured: it uses a crystal structure in Alexandria, relaxed with PBE and a wavelength of 1.5418 Å.
Kinematic intensities with the Lorentz-polarization factor, no thermal factor.

Structural model:
a = 8.985 Å, b = 8.985 Å, c = 8.985 Å
α = 65.17°, β = 65.17°, γ = 65.17°
Fractional positions:
Ba1 0.084 0.084 0.084
Ba2 0.916 0.916 0.916
Ca1 0.500 0.500 0.500
In1 0.044 0.664 0.664
In2 0.234 0.234 0.630
In3 0.234 0.630 0.234
In4 0.336 0.336 0.956
In5 0.336 0.956 0.336
In6 0.370 0.766 0.766
In7 0.630 0.234 0.234
In8 0.664 0.044 0.664
In9 0.664 0.664 0.044
In10 0.766 0.370 0.766
In11 0.766 0.766 0.370
In12 0.956 0.336 0.336
Pt1 0.000 0.500 0.500
Pt2 0.500 0.000 0.500
Pt3 0.500 0.500 0.000

Peak list (8 most intense, 2θ from 15° to 90°, in order of rising 2θ)
- 2θ = 21.6°, intensity 100.0
- 2θ = 29.4°, intensity 48.4
- 2θ = 31.5°, intensity 69.5
- 2θ = 34.5°, intensity 36.9
- 2θ = 36.7°, intensity 34.1
- 2θ = 37.2°, intensity 61.1
- 2θ = 48.3°, intensity 24.9
- 2θ = 56.8°, intensity 42.7

=====

(5)
Diffraction record for BaSrCa2In2. The PXRD pattern is computed, not measured: it uses a crystal structure in Alexandria, relaxed with PBE and a wavelength of 1.5418 Å.
Kinematic intensities with the Lorentz-polarization factor, no thermal factor.

Structural model:
a = 5.731 Å, b = 5.731 Å, c = 7.736 Å
α = 90.00°, β = 90.00°, γ = 120.00°
Fractional positions:
Ba1 0.000 0.000 0.000
Sr1 0.000 0.000 0.500
Ca1 0.333 0.667 0.264
Ca2 0.667 0.333 0.736
In1 0.333 0.667 0.744
In2 0.667 0.333 0.256

Peak list (8 most intense, 2θ from 15° to 90°, in order of rising 2θ)
- 2θ = 21.3°, intensity 28.7
- 2θ = 29.3°, intensity 100.0
- 2θ = 31.2°, intensity 85.6
- 2θ = 43.3°, intensity 33.6
- 2θ = 54.4°, intensity 33.8
- 2θ = 55.5°, intensity 15.9
- 2θ = 57.5°, intensity 27.8
- 2θ = 72.9°, intensity 13.9

=====

(6)
Diffraction record for BaSr2CaIn4. The PXRD pattern is computed, not measured: it uses a crystal structure in Alexandria, relaxed with PBE and a wavelength of 1.5418 Å.
Kinematic intensities with the Lorentz-polarization factor, no thermal factor.

Structural model:
a = 10.030 Å, b = 10.030 Å, c = 10.030 Å
α = 33.35°, β = 33.35°, γ = 33.35°
Fractional positions:
Ba1 0.000 0.000 0.000
Sr1 0.249 0.249 0.249
Sr2 0.751 0.751 0.751
Ca1 0.500 0.500 0.500
In1 0.127 0.127 0.127
In2 0.381 0.381 0.381
In3 0.619 0.619 0.619
In4 0.873 0.873 0.873

Peak list (8 most intense, 2θ from 15° to 90°, in order of rising 2θ)
- 2θ = 30.9°, intensity 97.9
- 2θ = 31.1°, intensity 100.0
- 2θ = 44.4°, intensity 35.4
- 2θ = 54.9°, intensity 16.8
- 2θ = 55.2°, intensity 55.4
- 2θ = 64.8°, intensity 11.5
- 2θ = 73.3°, intensity 14.0
- 2θ = 73.5°, intensity 15.4